Calculated X-ray diffraction stick pattern
Compound: Cs4TmU3O12
Radiation: Cu Kα (weighted mean of Kα1 and Kα2)
Structure: a cell relaxed with GGA-PBE
Lines closer than 0.1° are merged.

Crystal structure
abc: 8.8014 8.8014 8.8014
angles: 90.00 90.00 90.00
Space group Im-3m (No. 229)
Inequivalent atoms, fractional coordinates:
Cs (0.2500, 0.2500, 0.2500) [8 per cell]
Tm (0.0000, 0.0000, 0.0000) [2 per cell]
U (0.0000, 0.0000, 0.5000) [6 per cell]
O (0.0000, 0.0000, 0.2664) [12 per cell]
O (0.0000, 0.2500, 0.5000) [12 per cell]

Principal peaks in the range 15 to 90 degrees two-theta, by angle:
2θ/deg  Rel. int.
20.18  10.6
28.69  100.0
41.02  27.5
46.12  5.3
50.82  42.2
59.40  18.0
67.28  19.0
74.72  6.1
81.91  22.9
88.97  3.0